# HfMo4
Simulated powder X-ray diffraction pattern, Cu Kα, 1.54184 Å. Input: the GGA-PBE geometry in the Materials Project.
Peak positions follow from Bragg's law for the DFT cell and can differ from measured ones.

Structural model:
```
data_HfMo4
_chemical_formula_sum 'Hf4 Mo16'
_space_group_name_H-M_alt 'F m m m'
_space_group_IT_number 69
_space_group_name_Hall '-F 2 2'
_cell_length_a 3.226
_cell_length_b 4.650
_cell_length_c 22.433
_cell_angle_alpha 90.00
_cell_angle_beta 90.00
_cell_angle_gamma 90.00
loop_
_atom_site_label
_atom_site_type_symbol
_atom_site_fract_x
_atom_site_fract_y
_atom_site_fract_z
Hf1 Hf 0.000 0.000 0.000
Mo1 Mo 0.000 0.000 0.201
Mo2 Mo 0.000 0.000 0.394
```

Top 8 peaks for 10° ≤ 2θ ≤ 90°, low angle first:
| Position (°2θ) | d/Å | I/Imax | hkl |
| --- | --- | --- | --- |
| 38.7 | 2.325 | 266 | 0 2 0 |
| 39.5 | 2.282 | 1000 | 1 1 5 |
| 40.2 | 2.243 | 228 | 0 0 10 |
| 57.0 | 1.615 | 177 | 0 2 10 |
| 70.6 | 1.334 | 175 | 1 3 5 |
| 71.1 | 1.325 | 87 | 2 2 0 |
| 72.6 | 1.302 | 147 | 1 1 15 |
| 85.0 | 1.141 | 105 | 2 2 10 |

***

# ZnSb2O4
Simulated powder X-ray diffraction pattern, Cu Kα, 1.54184 Å. Input: the GGA-PBE geometry in the Materials Project.
Peak positions follow from Bragg's law for the DFT cell and can differ from measured ones.

Structural model:
```
data_ZnSb2O4
_chemical_formula_sum 'Zn6 Sb12 O24'
_space_group_name_H-M_alt 'P 1'
_space_group_IT_number 1
_cell_length_a 5.980
_cell_length_b 6.045
_cell_length_c 21.159
_cell_angle_alpha 92.49
_cell_angle_beta 94.67
_cell_angle_gamma 112.58
loop_
_space_group_symop_operation_xyz
'x,y,z'
loop_
_atom_site_label
_atom_site_type_symbol
_atom_site_fract_x
_atom_site_fract_y
_atom_site_fract_z
Zn1 Zn 0.000 0.000 0.000
Zn2 Zn 0.034 0.012 0.662
Zn3 Zn 0.087 0.049 0.216
Zn4 Zn 0.372 0.717 0.347
Zn5 Zn 0.454 0.711 0.569
Zn6 Zn 0.757 0.318 0.934
Sb1 Sb 0.045 0.487 0.089
Sb2 Sb 0.159 0.338 0.809
Sb3 Sb 0.381 0.178 0.466
Sb4 Sb 0.412 0.853 0.726
Sb5 Sb 0.425 0.706 0.956
Sb6 Sb 0.500 0.626 0.202
Sb7 Sb 0.550 0.051 0.088
Sb8 Sb 0.694 0.314 0.322
Sb9 Sb 0.701 0.430 0.692
Sb10 Sb 0.808 0.754 0.845
Sb11 Sb 0.885 0.240 0.539
Sb12 Sb 0.919 0.684 0.449
O1 O 0.026 0.029 0.432
O2 O 0.048 0.545 0.381
O3 O 0.048 0.750 0.720
O4 O 0.099 0.062 0.865
O5 O 0.164 0.354 0.018
O6 O 0.241 0.359 0.552
O7 O 0.272 0.900 0.011
O8 O 0.308 0.848 0.499
O9 O 0.381 0.804 0.259
O10 O 0.387 0.314 0.246
O11 O 0.397 0.075 0.660
O12 O 0.487 0.643 0.663
O13 O 0.501 0.072 0.382
O14 O 0.616 0.569 0.371
O15 O 0.627 0.986 0.906
O16 O 0.674 0.845 0.035
O17 O 0.709 0.332 0.037
O18 O 0.773 0.648 0.935
O19 O 0.818 0.940 0.583
O20 O 0.826 0.439 0.610
O21 O 0.848 0.752 0.231
O22 O 0.935 0.187 0.136
O23 O 0.938 0.191 0.731
O24 O 0.944 0.470 0.850
```

Top 8 peaks for 10° ≤ 2θ ≤ 90°, low angle first:
| Position (°2θ) | d/Å | I/Imax | hkl |
| --- | --- | --- | --- |
| 21.6 | 4.115 | 279 | -1 1 3 |
| 22.1 | 4.024 | 305 | 1 -1 3 |
| 27.4 | 3.256 | 1000 | -1 1 5 |
| 28.5 | 3.137 | 314 | 1 1 -3 |
| 30.2 | 2.960 | 390 | 2 -1 0 |
| 31.1 | 2.874 | 322 | 1 1 3 |
| 32.1 | 2.785 | 508 | 1 -2 3 |
| 33.7 | 2.660 | 328 | 2 -1 3 |